Starting from a structure optimized by DFT (PBE), the powder diffraction line list of NaTi2P4O14 was simulated for a wavelength of 1.5418 Å.

The 6 most intense peaks (2θ = 10–90°), in order of falling intensity:
2theta  d [Å]  I_rel
28.8  3.096  100
16.7  5.313  80
23.2  3.840  53
22.4  3.966  42
30.4  2.941  41
28.6  3.121  31

Atomic structure:
```
NaTi2P4O14
1.0
4.928 0.000 0.000
-1.817 6.795 0.000
-0.600 -0.291 8.157
Na Ti P O
1 2 4 14
Cartesian
0.000 0.000 0.000 Na
-1.465 6.625 4.189 Ti
2.190 3.356 0.122 Ti
-0.956 4.014 6.287 P
-0.185 2.459 2.109 P
0.951 5.096 2.575 P
2.857 1.387 5.803 P
-0.368 1.251 3.008 O
-0.760 5.221 5.391 O
0.762 2.148 0.932 O
-0.278 6.003 2.661 O
0.498 3.599 3.012 O
0.377 3.474 6.797 O
1.759 1.034 4.810 O
1.489 5.014 1.134 O
2.371 1.470 7.263 O
2.036 5.446 3.589 O
3.395 2.986 1.620 O
3.317 2.873 5.354 O
4.074 0.456 5.740 O
2.984 4.304 7.434 O
```


Starting from a structure optimized by DFT (PBE), the powder diffraction line list of Na4TiP2O9 was simulated for a wavelength of 1.5418 Å.

The 6 most intense peaks (2θ = 10–90°), in order of falling intensity:
2theta  d [Å]  I_rel
32.6  2.749  100
34.4  2.604  76
11.5  7.692  72
11.3  7.861  68
34.1  2.630  65
25.4  3.500  42

Atomic structure:
```
Na4TiP2O9
1.0
3.540 -7.861 0.000
3.540 7.861 0.000
0.000 0.000 7.692
Na Ti P O
8 2 4 18
Cartesian
1.770 3.930 0.000 Na
3.540 6.067 5.923 Na
1.770 0.000 3.846 Na
3.540 1.794 5.923 Na
1.770 -3.930 0.000 Na
3.540 -1.794 1.769 Na
5.309 0.000 3.846 Na
3.540 -6.067 1.769 Na
1.770 3.930 3.846 Ti
1.770 -3.930 3.846 Ti
3.540 5.987 1.864 P
3.540 1.874 1.864 P
3.540 -1.874 5.827 P
3.540 -5.987 5.827 P
1.298 2.500 5.172 O
3.540 7.477 2.221 O
3.540 5.588 0.387 O
2.242 2.500 2.520 O
3.540 3.930 4.544 O
1.298 -2.500 2.520 O
3.540 2.273 0.387 O
2.242 -2.500 5.172 O
3.540 0.384 2.221 O
3.540 -0.384 5.470 O
4.838 2.500 2.520 O
3.540 -2.273 7.304 O
5.781 2.500 5.172 O
3.540 -3.930 3.148 O
4.838 -2.500 5.172 O
3.540 -5.588 7.304 O
3.540 -7.477 5.470 O
5.781 -2.500 2.520 O
```


Starting from a structure optimized by DFT (PBE), the powder diffraction line list of NaTlPO3 was simulated for a wavelength of 1.5418 Å.

The 6 most intense peaks (2θ = 10–90°), in order of falling intensity:
2theta  d [Å]  I_rel
22.2  3.997  100
29.7  3.005  94
37.4  2.402  61
17.0  5.205  49
41.7  2.164  48
33.5  2.676  46

Atomic structure:
```
NaTlPO3
1.0
6.011 0.000 0.000
-3.005 5.205 0.000
0.000 0.000 6.238
Na Tl P O
2 2 2 6
Cartesian
0.000 0.000 0.000 Na
0.000 0.000 3.119 Na
0.000 3.470 1.560 Tl
3.005 1.735 4.679 Tl
0.000 3.470 4.679 P
3.005 1.735 1.560 P
0.000 1.942 4.679 O
-1.323 4.234 4.679 O
1.682 0.971 1.560 O
1.323 4.234 4.679 O
4.328 0.971 1.560 O
3.005 3.263 1.560 O
```


Starting from a structure optimized by DFT (PBE), the powder diffraction line list of Na2TlP2O7 was simulated for a wavelength of 1.5418 Å.

The 6 most intense peaks (2θ = 10–90°), in order of falling intensity:
2theta  d [Å]  I_rel
19.9  4.463  100
27.6  3.230  65
12.4  7.149  64
24.6  3.620  58
31.6  2.834  57
34.5  2.599  29

Atomic structure:
```
Na2TlP2O7
1.0
2.834 1.636 7.149
-2.834 1.636 7.149
0.000 -3.272 7.149
Na Tl P O
2 1 2 7
Cartesian
0.000 0.000 5.189 Na
0.000 0.000 16.259 Na
0.000 0.000 0.000 Tl
0.000 0.000 9.112 P
0.000 0.000 12.336 P
-0.639 -1.338 8.712 O
-0.839 -1.223 12.736 O
-0.839 1.223 8.712 O
0.000 0.000 10.724 O
-0.639 1.338 12.736 O
1.479 0.116 8.712 O
1.479 -0.116 12.736 O
```